Structure and computed X-ray diffraction stick pattern of V4Ni2O9 (a cell relaxed with PBE+U; CuKα).

Principal peaks in the range 10° ≤ 2θ ≤ 80°, most intense first:
- 2θ 32.8, I = 100.0
- 2θ 35.3, I = 81.3
- 2θ 53.5, I = 69.1
- 2θ 23.9, I = 45.6
- 2θ 49.0, I = 26.5
- 2θ 63.4, I = 24.8
- 2θ 40.5, I = 23.3
- 2θ 61.9, I = 21.8
- 2θ 71.0, I = 15.4
- 2θ 49.1, I = 13.3

Structure:
```
data_V4Ni2O9
_chemical_formula_sum 'V8 Ni4 O18'
_cell_length_a 5.4901
_cell_length_b 5.4901
_cell_length_c 12.5970
_cell_angle_alpha 93.65
_cell_angle_beta 93.65
_cell_angle_gamma 55.22
_space_group_name_H-M_alt 'P 1'
_space_group_IT_number 1
loop_
_space_group_symop_operation_xyz
'x,y,z'
loop_
_atom_site_label
_atom_site_type_symbol
_atom_site_fract_x
_atom_site_fract_y
_atom_site_fract_z
V1 V 0.0007 0.9993 0.5000
V2 V 0.2658 0.2716 0.4281
V3 V 0.2716 0.2658 0.9281
V4 V 0.3333 0.3346 0.1623
V5 V 0.3346 0.3333 0.6623
V6 V 0.6620 0.6688 0.3239
V7 V 0.6688 0.6620 0.8239
V8 V 0.9993 0.0007 0.0000
Ni1 Ni 0.6014 0.6103 0.5924
Ni2 Ni 0.6103 0.6014 0.0924
Ni3 Ni 0.9325 0.9366 0.7637
Ni4 Ni 0.9366 0.9325 0.2637
O1 O 0.0386 0.3259 0.5628
O2 O 0.0998 0.4885 0.7942
O3 O 0.1407 0.7822 0.6197
O4 O 0.2479 0.9185 0.8652
O5 O 0.2539 0.5787 0.0279
O6 O 0.3259 0.0386 0.0628
O7 O 0.3881 0.6523 0.2400
O8 O 0.4281 0.8332 0.4543
O9 O 0.4885 0.0998 0.2942
O10 O 0.5787 0.2539 0.5279
O11 O 0.5837 0.9131 0.6992
O12 O 0.6523 0.3881 0.7400
O13 O 0.7109 0.9859 0.9028
O14 O 0.7822 0.1407 0.1197
O15 O 0.8332 0.4281 0.9543
O16 O 0.9131 0.5837 0.1992
O17 O 0.9185 0.2479 0.3652
O18 O 0.9859 0.7109 0.4028
```